Simulated powder diffractogram
Compound: Li13Mn6P8O32
Radiation: Cu Kα X-rays
Structure: DFT lattice parameters and positions (PBE+U)

Main lines, in order of rising 2θ (5 to 70 degrees two-theta):
d [Å]	2theta	intensity
10.440	8.47	32.9
5.220	16.99	26.4
4.416	20.11	100.0
3.558	25.03	38.4
3.187	28.00	85.6
2.832	31.59	34.7
2.605	34.43	49.2
2.586	34.69	37.6
2.566	34.96	27.9
2.373	37.92	34.9

Cell and atoms:
```
Li13Mn6P8O32
1.0
7.9827 0.0000 0.0000
-2.1164 7.7843 0.0000
-2.7778 -3.9709 10.4402
Li Mn P O
13 6 8 32
direct
0.0000 0.0000 0.0000
0.0029 0.2473 0.3975
0.1302 0.8740 0.6689
0.2187 0.0120 0.2743
0.3339 0.1611 0.9222
0.4704 0.5346 0.0104
0.4752 0.7494 0.2805
0.4875 0.7645 0.8016
0.6457 0.3752 0.6693
0.7173 0.5140 0.2686
0.8215 0.6493 0.9199
0.9425 0.2491 0.1497
0.9642 0.2365 0.7746
0.0296 0.5477 0.0764
0.4376 0.4839 0.4991
0.4733 0.9882 0.5692
0.5134 0.0286 0.0795
0.9209 0.9578 0.4933
0.9493 0.4794 0.5863
0.0980 0.6259 0.3842
0.2011 0.7356 0.8857
0.2605 0.2745 0.6887
0.3488 0.3770 0.1885
0.5988 0.1285 0.3864
0.7006 0.2374 0.8928
0.7526 0.7907 0.6977
0.8478 0.8783 0.1909
0.0435 0.5906 0.8991
0.0663 0.2600 0.6016
0.1655 0.4959 0.4484
0.1805 0.7022 0.7418
0.1838 0.2221 0.1856
0.2046 0.9342 0.9505
0.2586 0.3070 0.8269
0.2619 0.7792 0.3852
0.2673 0.0765 0.6306
0.2870 0.5126 0.1282
0.3962 0.7337 0.9512
0.4172 0.4258 0.6796
0.4607 0.0074 0.2487
0.4665 0.3001 0.1125
0.4843 0.4991 0.3274
0.4845 0.2086 0.4654
0.5444 0.0864 0.9032
0.5530 0.7881 0.6346
0.6570 0.9875 0.4448
0.6875 0.1980 0.7494
0.6894 0.7251 0.1945
0.6974 0.4339 0.9519
0.7437 0.5936 0.6222
0.7653 0.2770 0.3855
0.7775 0.8167 0.8393
0.7809 0.0109 0.1308
0.8958 0.2418 0.9684
0.9063 0.9380 0.6815
0.9640 0.5043 0.2443
0.9659 0.8051 0.1124
0.9813 0.7057 0.4611
0.9876 0.9984 0.3301
```

=====

Simulated powder diffractogram
Compound: Li4Mn7P6O24
Radiation: Cu Kα X-rays
Structure: DFT lattice parameters and positions (PBE+U)

Main lines, in order of rising 2θ (5 to 70 degrees two-theta):
d [Å]	2theta	intensity
7.240	12.22	56.3
6.403	13.83	100.0
3.829	23.23	63.9
2.830	31.61	95.3
2.740	32.68	76.8
2.413	37.26	24.4
2.398	37.50	26.7
2.230	40.45	25.5
2.200	41.03	19.3
1.693	54.17	22.0

Cell and atoms:
```
Li4Mn7P6O24
1.0
5.4527 -7.2400 0.0000
5.4527 7.2400 0.0000
-1.8374 0.0000 6.4027
Li Mn P O
4 7 6 24
direct
0.0000 0.0000 0.0000
0.3261 0.5574 0.9932
0.5574 0.3261 0.9932
0.6398 0.6398 0.9134
0.0052 0.0052 0.4920
0.0060 0.6462 0.6760
0.0103 0.3664 0.2972
0.3425 0.6741 0.4850
0.3664 0.0103 0.2972
0.6462 0.0060 0.6760
0.6741 0.3425 0.4850
0.0855 0.7197 0.1853
0.2901 0.9156 0.7863
0.3335 0.3335 0.5755
0.6786 0.6786 0.4044
0.7197 0.0855 0.1853
0.9156 0.2901 0.7863
0.0353 0.6244 0.3523
0.0368 0.3693 0.9926
0.1114 0.9023 0.2506
0.1112 0.9045 0.7322
0.2036 0.2036 0.6159
0.2570 0.7107 0.1830
0.2583 0.4326 0.4411
0.2831 0.7383 0.7798
0.3693 0.0368 0.9926
0.3836 0.9592 0.6136
0.4326 0.2583 0.4411
0.4443 0.4443 0.7828
0.5661 0.5661 0.2021
0.5851 0.7547 0.5498
0.6244 0.0353 0.3523
0.6580 0.9639 0.9766
0.7107 0.2570 0.1830
0.7383 0.2831 0.7798
0.7547 0.5851 0.5498
0.8063 0.8063 0.3548
0.9023 0.1114 0.2506
0.9045 0.1112 0.7322
0.9592 0.3836 0.6136
0.9639 0.6580 0.9766
```

=====

Simulated powder diffractogram
Compound: LiMnPO4
Radiation: Cu Kα X-rays
Structure: DFT lattice parameters and positions (PBE+U)

Main lines, in order of rising 2θ (5 to 70 degrees two-theta):
d [Å]	2theta	intensity
4.451	19.95	30.1
3.772	23.59	43.0
3.566	24.97	27.2
3.262	27.34	15.4
2.777	32.24	100.0
2.644	33.91	30.5
2.439	36.85	38.3
1.886	48.25	22.5
1.783	51.23	15.3
1.484	62.60	14.7

Cell and atoms:
```
LiMnPO4
1.0
7.1046 0.0000 0.0000
0.0000 8.2466 0.0000
0.0000 0.0000 5.2876
Li Mn P O
4 4 4 16
direct
0.2473 0.0540 0.0000
0.2527 0.5540 0.5000
0.7473 0.4460 0.0000
0.7527 0.9460 0.5000
0.0233 0.7434 0.0188
0.4767 0.2434 0.5188
0.5233 0.7566 0.0188
0.9767 0.2566 0.5188
0.2137 0.9067 0.5055
0.2863 0.4067 0.0055
0.7137 0.5933 0.5055
0.7863 0.0933 0.0055
0.0298 0.0029 0.4698
0.1364 0.5141 0.1369
0.1850 0.7529 0.6728
0.2226 0.3472 0.7342
0.2774 0.8472 0.2342
0.3150 0.2529 0.1728
0.3636 0.0141 0.6369
0.4702 0.5029 0.9698
0.5298 0.4971 0.4698
0.6364 0.9859 0.1369
0.6850 0.7471 0.6728
0.7226 0.1528 0.7342
0.7774 0.6528 0.2342
0.8150 0.2471 0.1728
0.8636 0.4859 0.6369
0.9702 0.9971 0.9698
```

=====

Simulated powder diffractogram
Compound: LiMn4P3O12
Radiation: Cu Kα X-rays
Structure: DFT lattice parameters and positions (PBE+U)

Main lines, in order of rising 2θ (5 to 70 degrees two-theta):
d [Å]	2theta	intensity
4.331	20.51	18.8
3.399	26.22	16.1
3.018	29.60	18.4
2.801	31.95	100.0
2.449	36.70	8.8
2.109	42.88	16.4
1.801	50.68	10.7
1.719	53.28	18.9
1.707	53.71	18.8
1.458	63.85	11.8

Cell and atoms:
```
LiMn4P3O12
1.0
-3.4144 3.4144 9.7955
3.4144 -3.4144 9.7955
3.4144 3.4144 -9.7955
Li Mn P O
2 8 6 24
direct
0.0000 0.0000 0.0000
0.7500 0.2500 0.5000
0.0184 0.5184 0.5000
0.1395 0.1250 0.5145
0.2684 0.2684 0.0000
0.3750 0.8605 0.9855
0.4816 0.9816 0.5000
0.6105 0.6250 0.4855
0.7316 0.7316 0.0000
0.8750 0.3895 0.0145
0.0275 0.6250 0.9025
0.2500 0.7500 0.5000
0.3750 0.2775 0.4025
0.5000 0.5000 0.0000
0.7225 0.1250 0.0975
0.8750 0.9725 0.5975
0.0211 0.6554 0.2584
0.0397 0.8334 0.6622
0.1275 0.4212 0.8378
0.1666 0.8288 0.2063
0.1712 0.3775 0.3378
0.2373 0.9789 0.6343
0.3436 0.0726 0.2921
0.3446 0.6030 0.3657
0.3530 0.5946 0.8657
0.3970 0.7627 0.7416
0.4054 0.2711 0.7584
0.4064 0.1985 0.2290
0.5127 0.6470 0.2416
0.5788 0.4167 0.7063
0.5834 0.2897 0.1622
0.6225 0.9603 0.7937
0.7103 0.8725 0.2937
0.7289 0.4873 0.1343
0.7805 0.0515 0.7079
0.8015 0.0305 0.2079
0.8226 0.5936 0.7921
0.9274 0.2195 0.2710
0.9485 0.6564 0.7290
0.9695 0.1774 0.7710
```